[1]
Theoretical powder XRD pattern of Cs5Tl2Se4 for CuKα, from a GGA-PBE-relaxed structure.

Cell lengths 19.772, 5.355, 10.221 Å; angles 90.00, 101.96, 90.00 degrees
Space group C2/m (No. 12)
One atom of each set of equivalent atoms:
Cs1 0.000 0.000 0.000 x2
Cs2 0.156 0.500 0.469 x4
Cs3 0.174 0.500 0.927 x4
Tl1 0.043 0.000 0.649 x4
Se1 0.007 0.500 0.754 x4
Se2 0.192 0.000 0.716 x4

Principal peaks in the range 2θ from 5° to 70°, sorted by position:
(2 0 0), 9.14 deg, rel. 375; (2 0 -1), 11.33 deg, rel. 611; (3 1 0), 21.57 deg, rel. 669; (3 1 -2), 26.14 deg, rel. 1000; (1 1 -3), 31.13 deg, rel. 465; (0 2 0), 33.47 deg, rel. 526



[2]
Theoretical powder XRD pattern of CsTlVSe4 for CuKα, from a GGA-PBE-relaxed structure.

Cell lengths 6.410, 7.626, 10.142 Å; angles 90.00, 107.80, 90.00 degrees
Space group P2_1/m (No. 11)
One atom of each set of equivalent atoms:
Cs1 0.217 0.250 0.392 x2
Tl1 0.351 0.750 0.001 x2
V1 0.143 0.250 0.790 x2
Se1 0.101 0.250 0.006 x2
Se2 0.181 0.750 0.376 x2
Se3 0.349 0.004 0.771 x4

Principal peaks in the range 2θ from 5° to 70°, sorted by position:
(0 0 1), 9.16 deg, rel. 983; (0 2 0), 23.33 deg, rel. 771; (0 2 2), 29.86 deg, rel. 1000; (2 1 -1), 30.25 deg, rel. 520; (1 2 -2), 30.68 deg, rel. 627; (0 2 3), 36.53 deg, rel. 585



[3]
Theoretical powder XRD pattern of CsZrTlSe3 for CuKα, from a GGA-PBE-relaxed structure.

Cell lengths 7.892, 15.637, 7.259 Å; angles 90.00, 101.63, 90.00 degrees
Space group C2/c (No. 15)
One atom of each set of equivalent atoms:
Cs1 0.000 0.247 0.250 x4
Zr1 0.000 0.452 0.750 x4
Tl1 0.000 0.084 0.750 x4
Se1 0.000 0.291 0.750 x4
Se2 0.221 0.462 0.503 x8

Principal peaks in the range 2θ from 5° to 70°, sorted by position:
(1 3 -1), 22.82 deg, rel. 496; (2 0 0), 23.01 deg, rel. 389; (1 3 1), 25.29 deg, rel. 1000; (2 0 -2), 30.54 deg, rel. 648; (2 0 2), 37.68 deg, rel. 372; (3 3 -1), 38.75 deg, rel. 303



[4]
Theoretical powder XRD pattern of CsTmSe2 for CuKα, from a GGA-PBE-relaxed structure.

Cell lengths 4.1985, 4.1985, 8.5132 Å; angles 90.00, 90.00, 120.00 degrees
Space group P-3m1 (No. 164)
One atom of each set of equivalent atoms:
Cs1 0.0000 0.0000 0.0000 x1
Tm1 0.0000 0.0000 0.5000 x1
Se1 0.3333 0.6667 0.6822 x2

Principal peaks in the range 2θ from 5° to 70°, sorted by position:
(1 0 0), 24.48 deg, rel. 362; (0 1 1), 26.66 deg, rel. 199; (0 1 2), 32.38 deg, rel. 1000; (1 1 0), 43.09 deg, rel. 354; (1 0 4), 49.63 deg, rel. 255; (2 0 2), 54.92 deg, rel. 221